Record 1
Structure and calculated X-ray powder pattern of Nd5ErSc3 (a GGA-PBE-relaxed structure; Cu Ka).
Kinematic intensities with the Lorentz-polarization factor, no thermal factor.

Structural model:
a b c (Å): 11.3610 11.4630 10.2672
angles (deg): 90.00 107.33 90.00
Space group C2/m (No. 12)
Asymmetric unit:
Nd (0.0000, 0.2462, 0.0000) [4 per cell]
Nd (0.0233, 0.2428, 0.3421) [8 per cell]
Nd (0.2421, 0.5000, 0.5794) [4 per cell]
Nd (0.2490, 0.5000, 0.9155) [4 per cell]
Er (0.2486, 0.0000, 0.7487) [4 per cell]
Sc (0.0000, 0.0000, 0.5000) [2 per cell]
Sc (0.0000, 0.5000, 0.0000) [2 per cell]
Sc (0.0009, 0.0000, 0.1660) [4 per cell]
Sc (0.0011, 0.5000, 0.6720) [4 per cell]

Main lines, sorted by position (10° ≤ 2θ ≤ 90°):
| h k l | 2θ (°) | Rel. int. |
| --- | --- | --- |
| 2 2 0 | 22.6 | 100 |
| 0 4 0 | 31.2 | 43 |
| 0 2 3 | 31.5 | 31 |
| 3 1 -3 | 31.9 | 51 |
| 4 0 0 | 33.0 | 33 |
| 3 3 -3 | 39.0 | 36 |

=====

Record 2
Structure and calculated X-ray powder pattern of Cd2HgSbSe (a GGA-PBE-relaxed structure; Cu Ka).
Kinematic intensities with the Lorentz-polarization factor, no thermal factor.

Structural model:
a b c (Å): 5.5000 5.5000 5.4996
angles (deg): 90.00 90.00 90.00
Space group P4/mmm (No. 123)
Asymmetric unit:
Cd (0.0000, 0.5000, 0.0000) [2 per cell]
Hg (0.0000, 0.0000, 0.5000) [1 per cell]
Sb (0.0000, 0.0000, 0.0000) [1 per cell]
Se (0.5000, 0.5000, 0.5000) [1 per cell]

Main lines, sorted by position (10° ≤ 2θ ≤ 90°):
| h k l | 2θ (°) | Rel. int. |
| --- | --- | --- |
| 1 0 0 | 16.1 | 54 |
| 1 1 1 | 28.1 | 74 |
| 2 0 0 | 32.6 | 100 |
| 2 2 0 | 46.7 | 72 |
| 3 1 1 | 55.4 | 33 |
| 4 2 0 | 77.6 | 32 |

=====

Record 3
Structure and calculated X-ray powder pattern of Tb2SmCd6 (a GGA-PBE-relaxed structure; Cu Ka).
Kinematic intensities with the Lorentz-polarization factor, no thermal factor.

Structural model:
a b c (Å): 8.6811 8.6811 3.4291
angles (deg): 90.00 90.00 120.00
Space group P6/mmm (No. 191)
Asymmetric unit:
Tb (0.3333, 0.6667, 0.0000) [2 per cell]
Sm (0.0000, 0.0000, 0.0000) [1 per cell]
Cd (0.0000, 0.3348, 0.5000) [6 per cell]

Main lines, sorted by position (10° ≤ 2θ ≤ 90°):
| h k l | 2θ (°) | Rel. int. |
| --- | --- | --- |
| 1 1 1 | 33.3 | 100 |
| 3 0 0 | 35.8 | 83 |
| 2 2 1 | 49.7 | 32 |
| 4 1 1 | 62.8 | 31 |
| 3 0 2 | 66.0 | 27 |
| 3 3 2 | 88.4 | 19 |

=====

Record 4
Structure and calculated X-ray powder pattern of Pm2Er8Sc3 (a GGA-PBE-relaxed structure; Cu Ka).
Kinematic intensities with the Lorentz-polarization factor, no thermal factor.

Structural model:
a b c (Å): 6.0159 6.0308 10.9599
angles (deg): 90.03 100.47 99.55
Space group P-1 (No. 2)
Asymmetric unit:
Pm (0.1159, 0.2694, 0.4609) [2 per cell]
Er (0.0406, 0.4180, 0.1472) [2 per cell]
Er (0.1930, 0.1211, 0.7795) [2 per cell]
Er (0.3464, 0.8075, 0.3781) [2 per cell]
Er (0.4242, 0.6596, 0.7008) [2 per cell]
Sc (0.2730, 0.9612, 0.0731) [2 per cell]
Sc (0.5000, 0.5000, 0.0000) [1 per cell]

Main lines, sorted by position (10° ≤ 2θ ≤ 90°):
| h k l | 2θ (°) | Rel. int. |
| --- | --- | --- |
| 0 2 1 | 31.5 | 34 |
| -2 1 1 | 31.6 | 100 |
| 2 1 0 | 36.5 | 46 |
| -1 1 4 | 36.6 | 22 |
| 3 -1 2 | 52.7 | 23 |
| 4 0 -1 | 62.7 | 32 |